# 1
Calculated PXRD pattern of NaPrC2O6 for Cu Ka, from a crystal structure in Alexandria, relaxed with PBE.
Kinematic intensities with the Lorentz-polarization factor, no thermal factor.

Structural model:
Unit cell a=5.190 b=6.470 c=7.200 alpha=90.00 beta=90.00 gamma=90.00
Atoms (fractional coordinates):
1 Na 0.000 0.024 0.000
2 Na 0.000 0.976 0.500
3 Pr 0.500 0.366 0.301
4 Pr 0.500 0.634 0.801
5 C 0.000 0.470 0.972
6 C 0.000 0.530 0.472
7 C 0.500 0.084 0.715
8 C 0.500 0.916 0.215
9 O 0.000 0.355 0.385
10 O 0.000 0.645 0.885
11 O 0.220 0.383 0.010
12 O 0.220 0.617 0.510
13 O 0.288 0.012 0.252
14 O 0.288 0.988 0.752
15 O 0.500 0.267 0.638
16 O 0.500 0.733 0.138
17 O 0.712 0.012 0.252
18 O 0.712 0.988 0.752
19 O 0.780 0.383 0.010
20 O 0.780 0.617 0.510

The 6 most intense peaks (2θ = 10–90°), sorted by position:
5.190 Å, rel. 49.8
4.812 Å, rel. 56.7
3.529 Å, rel. 41.5
2.955 Å, rel. 100.0
2.565 Å, rel. 42.7
1.949 Å, rel. 32.5

# 2
Calculated PXRD pattern of NaPtCO5 for Cu Ka, from a crystal structure in Alexandria, relaxed with PBE.
Kinematic intensities with the Lorentz-polarization factor, no thermal factor.

Structural model:
Unit cell a=5.247 b=5.247 c=7.013 alpha=106.09 beta=106.09 gamma=105.01
Atoms (fractional coordinates):
1 Na 0.147 0.853 0.750
2 Na 0.853 0.147 0.250
3 Pt 0.500 0.500 0.000
4 Pt 0.500 0.500 0.500
5 C 0.196 0.804 0.250
6 C 0.804 0.196 0.750
7 O 0.074 0.253 0.912
8 O 0.169 0.604 0.344
9 O 0.253 0.074 0.412
10 O 0.396 0.831 0.156
11 O 0.404 0.596 0.750
12 O 0.596 0.404 0.250
13 O 0.604 0.169 0.844
14 O 0.747 0.926 0.588
15 O 0.831 0.396 0.656
16 O 0.926 0.747 0.088

The 6 most intense peaks (2θ = 10–90°), sorted by position:
4.696 Å, rel. 100.0
4.163 Å, rel. 32.1
3.216 Å, rel. 58.5
2.843 Å, rel. 33.4
2.496 Å, rel. 58.6
2.348 Å, rel. 30.2

# 3
Calculated PXRD pattern of Na2RhC2O6 for Cu Ka, from a crystal structure in Alexandria, relaxed with PBE.
Kinematic intensities with the Lorentz-polarization factor, no thermal factor.

Structural model:
Unit cell a=5.842 b=5.842 c=5.905 alpha=115.58 beta=115.58 gamma=50.64
Atoms (fractional coordinates):
1 Na 0.203 0.203 0.203
2 Na 0.797 0.797 0.797
3 Rh 0.000 0.000 0.500
4 C 0.499 0.499 0.254
5 C 0.501 0.501 0.746
6 O 0.200 0.644 0.210
7 O 0.356 0.800 0.790
8 O 0.367 0.367 0.668
9 O 0.633 0.633 0.332
10 O 0.644 0.200 0.210
11 O 0.800 0.356 0.790

The 6 most intense peaks (2θ = 10–90°), sorted by position:
5.188 Å, rel. 61.5
4.772 Å, rel. 69.8
4.639 Å, rel. 90.9
3.033 Å, rel. 55.7
2.861 Å, rel. 89.6
2.496 Å, rel. 100.0

# 4
Calculated PXRD pattern of Na4Sb2C4SO16 for Cu Ka, from a crystal structure in Alexandria, relaxed with PBE.
Kinematic intensities with the Lorentz-polarization factor, no thermal factor.

Structural model:
Unit cell a=10.530 b=10.435 c=10.065 alpha=61.79 beta=60.84 gamma=57.38
Atoms (fractional coordinates):
1 Na 0.077 0.673 0.077
2 Na 0.078 0.672 0.672
3 Na 0.327 0.923 0.327
4 Na 0.328 0.922 0.922
5 Na 0.672 0.078 0.078
6 Na 0.673 0.077 0.673
7 Na 0.922 0.328 0.328
8 Na 0.923 0.327 0.923
9 Sb 0.000 0.500 0.500
10 Sb 0.500 0.000 0.500
11 Sb 0.500 0.500 0.000
12 Sb 0.500 0.500 0.500
13 C 0.263 0.660 0.292
14 C 0.285 0.292 0.660
15 C 0.292 0.285 0.263
16 C 0.340 0.737 0.715
17 C 0.660 0.263 0.285
18 C 0.708 0.715 0.737
19 C 0.715 0.708 0.340
20 C 0.737 0.340 0.708
21 S 0.125 0.125 0.125
22 S 0.875 0.875 0.875
23 O 0.057 0.303 0.071
24 O 0.069 0.071 0.303
25 O 0.071 0.069 0.057
26 O 0.138 0.652 0.412
27 O 0.152 0.306 0.666
28 O 0.154 0.406 0.277
29 O 0.277 0.663 0.154
30 O 0.298 0.412 0.652
31 O 0.303 0.057 0.069
32 O 0.306 0.152 0.376
33 O 0.334 0.624 0.848
34 O 0.337 0.723 0.594
35 O 0.348 0.862 0.702
36 O 0.376 0.666 0.306
37 O 0.406 0.154 0.663
38 O 0.412 0.298 0.138
39 O 0.588 0.702 0.862
40 O 0.594 0.846 0.337
41 O 0.624 0.334 0.694
42 O 0.652 0.138 0.298
43 O 0.663 0.277 0.406
44 O 0.666 0.376 0.152
45 O 0.694 0.848 0.624
46 O 0.697 0.943 0.931
47 O 0.702 0.588 0.348
48 O 0.723 0.337 0.846
49 O 0.846 0.594 0.723
50 O 0.848 0.694 0.334
51 O 0.862 0.348 0.588
52 O 0.929 0.931 0.943
53 O 0.931 0.929 0.697
54 O 0.943 0.697 0.929

The 6 most intense peaks (2θ = 10–90°), sorted by position:
8.423 Å, rel. 100.0
4.571 Å, rel. 75.5
4.351 Å, rel. 48.3
4.288 Å, rel. 52.3
4.211 Å, rel. 50.0
2.944 Å, rel. 37.3